(1)
# LaPm3As4
Computed X-ray powder pattern, Cu Kα X-rays. Input: a crystal structure in Alexandria, relaxed with PBE.
No peak broadening, texture or thermal motion is included.

Structure:
```
data_LaPm3As4
_cell_length_a 6.0430
_cell_length_b 6.0430
_cell_length_c 6.0430
_cell_angle_alpha 90.00
_cell_angle_beta 90.00
_cell_angle_gamma 90.00
_space_group_name_H-M_alt 'P 1'
_space_group_IT_number 1
loop_
_space_group_symop_operation_xyz
'x,y,z'
loop_
_atom_site_label
_atom_site_type_symbol
_atom_site_fract_x
_atom_site_fract_y
_atom_site_fract_z
La1 La 0.0000 0.0000 0.0000
Pm1 Pm 0.0000 0.5000 0.5000
Pm2 Pm 0.5000 0.0000 0.5000
Pm3 Pm 0.5000 0.5000 0.0000
As1 As 0.0000 0.0000 0.5000
As2 As 0.0000 0.5000 0.0000
As3 As 0.5000 0.0000 0.0000
As4 As 0.5000 0.5000 0.5000
```

The 6 most intense peaks (10° ≤ 2θ ≤ 90°), by angle:
| two_theta | I/Imax |
| --- | --- |
| 25.53 | 17 |
| 29.56 | 100 |
| 42.30 | 75 |
| 52.45 | 27 |
| 69.57 | 34 |
| 77.36 | 25 |

=====

(2)
# La2Tb3PmAs6
Computed X-ray powder pattern, Cu Kα X-rays. Input: a crystal structure in Alexandria, relaxed with PBE.
No peak broadening, texture or thermal motion is included.

Structure:
```
data_La2Tb3PmAs6
_cell_length_a 9.4674
_cell_length_b 9.4674
_cell_length_c 8.4688
_cell_angle_alpha 102.89
_cell_angle_beta 102.89
_cell_angle_gamma 25.87
_space_group_name_H-M_alt 'P 1'
_space_group_IT_number 1
loop_
_space_group_symop_operation_xyz
'x,y,z'
loop_
_atom_site_label
_atom_site_type_symbol
_atom_site_fract_x
_atom_site_fract_y
_atom_site_fract_z
La1 La 0.1659 0.1659 0.3320
La2 La 0.8341 0.8341 0.6680
Tb1 Tb 0.1667 0.1667 0.8340
Tb2 Tb 0.5000 0.5000 0.5000
Tb3 Tb 0.8333 0.8333 0.1660
Pm1 Pm 0.5000 0.5000 0.0000
As1 As 0.0030 0.0030 0.7478
As2 As 0.3323 0.3323 0.9245
As3 As 0.3361 0.3361 0.4098
As4 As 0.6639 0.6639 0.5901
As5 As 0.6677 0.6677 0.0755
As6 As 0.9970 0.9970 0.2522
```

The 6 most intense peaks (10° ≤ 2θ ≤ 90°), by angle:
| two_theta | I/Imax |
| --- | --- |
| 25.76 | 19 |
| 29.83 | 100 |
| 42.69 | 75 |
| 52.95 | 26 |
| 70.28 | 34 |
| 78.17 | 25 |

=====

(3)
# La2PrSmAs4
Computed X-ray powder pattern, Cu Kα X-rays. Input: a crystal structure in Alexandria, relaxed with PBE.
No peak broadening, texture or thermal motion is included.

Structure:
```
data_La2PrSmAs4
_cell_length_a 7.4783
_cell_length_b 4.3213
_cell_length_c 7.4791
_cell_angle_alpha 90.00
_cell_angle_beta 109.45
_cell_angle_gamma 90.00
_space_group_name_H-M_alt 'P 1'
_space_group_IT_number 1
loop_
_space_group_symop_operation_xyz
'x,y,z'
loop_
_atom_site_label
_atom_site_type_symbol
_atom_site_fract_x
_atom_site_fract_y
_atom_site_fract_z
La1 La 0.0000 0.0000 0.0000
La2 La 0.5000 0.5000 0.0000
Pr1 Pr 0.0000 0.5000 0.5000
Sm1 Sm 0.5000 0.0000 0.5000
As1 As 0.2512 0.0000 0.7461
As2 As 0.2543 0.5000 0.2557
As3 As 0.7457 0.5000 0.7443
As4 As 0.7488 0.0000 0.2539
```

The 6 most intense peaks (10° ≤ 2θ ≤ 90°), by angle:
| two_theta | I/Imax |
| --- | --- |
| 25.25 | 16 |
| 29.24 | 100 |
| 41.83 | 75 |
| 51.85 | 27 |
| 68.72 | 34 |
| 76.38 | 25 |

=====

(4)
# LaAs3Pt3
Computed X-ray powder pattern, Cu Kα X-rays. Input: a crystal structure in Alexandria, relaxed with PBE.
No peak broadening, texture or thermal motion is included.

Structure:
```
data_LaAs3Pt3
_cell_length_a 6.8647
_cell_length_b 6.8647
_cell_length_c 6.8647
_cell_angle_alpha 90.00
_cell_angle_beta 90.00
_cell_angle_gamma 90.00
_space_group_name_H-M_alt 'P 1'
_space_group_IT_number 1
loop_
_space_group_symop_operation_xyz
'x,y,z'
loop_
_atom_site_label
_atom_site_type_symbol
_atom_site_fract_x
_atom_site_fract_y
_atom_site_fract_z
La1 La 0.0000 0.0000 0.0000
La2 La 0.5000 0.5000 0.5000
As1 As 0.0000 0.2500 0.5000
As2 As 0.0000 0.7500 0.5000
As3 As 0.2500 0.5000 0.0000
As4 As 0.5000 0.0000 0.2500
As5 As 0.5000 0.0000 0.7500
As6 As 0.7500 0.5000 0.0000
Pt1 Pt 0.0000 0.5000 0.2500
Pt2 Pt 0.0000 0.5000 0.7500
Pt3 Pt 0.2500 0.0000 0.5000
Pt4 Pt 0.5000 0.2500 0.0000
Pt5 Pt 0.5000 0.7500 0.0000
Pt6 Pt 0.7500 0.0000 0.5000
```

The 6 most intense peaks (10° ≤ 2θ ≤ 90°), by angle:
| two_theta | I/Imax |
| --- | --- |
| 25.96 | 43 |
| 29.09 | 40 |
| 31.93 | 100 |
| 45.79 | 34 |
| 49.69 | 58 |
| 53.39 | 32 |

=====

(5)
# LaAsPtRh
Computed X-ray powder pattern, Cu Kα X-rays. Input: a crystal structure in Alexandria, relaxed with PBE.
No peak broadening, texture or thermal motion is included.

Structure:
```
data_LaAsPtRh
_cell_length_a 4.0607
_cell_length_b 4.0607
_cell_length_c 9.9049
_cell_angle_alpha 90.00
_cell_angle_beta 90.00
_cell_angle_gamma 90.00
_space_group_name_H-M_alt 'P 1'
_space_group_IT_number 1
loop_
_space_group_symop_operation_xyz
'x,y,z'
loop_
_atom_site_label
_atom_site_type_symbol
_atom_site_fract_x
_atom_site_fract_y
_atom_site_fract_z
La1 La 0.2500 0.2500 0.2150
La2 La 0.7500 0.7500 0.7850
As1 As 0.2500 0.2500 0.6443
As2 As 0.7500 0.7500 0.3557
Pt1 Pt 0.2500 0.2500 0.9060
Pt2 Pt 0.7500 0.7500 0.0940
Rh1 Rh 0.2500 0.7500 0.5000
Rh2 Rh 0.7500 0.2500 0.5000
```

The 6 most intense peaks (10° ≤ 2θ ≤ 90°), by angle:
| two_theta | I/Imax |
| --- | --- |
| 31.15 | 57 |
| 32.47 | 70 |
| 35.03 | 100 |
| 42.77 | 41 |
| 44.63 | 62 |
| 57.96 | 47 |

=====

(6)
# SrLaAs2Pt2
Computed X-ray powder pattern, Cu Kα X-rays. Input: a crystal structure in Alexandria, relaxed with PBE.
No peak broadening, texture or thermal motion is included.

Structure:
```
data_SrLaAs2Pt2
_cell_length_a 4.3489
_cell_length_b 4.3489
_cell_length_c 8.6124
_cell_angle_alpha 90.00
_cell_angle_beta 90.00
_cell_angle_gamma 120.00
_space_group_name_H-M_alt 'P 1'
_space_group_IT_number 1
loop_
_space_group_symop_operation_xyz
'x,y,z'
loop_
_atom_site_label
_atom_site_type_symbol
_atom_site_fract_x
_atom_site_fract_y
_atom_site_fract_z
Sr1 Sr 0.0000 0.0000 0.0000
La1 La 0.0000 0.0000 0.5000
As1 As 0.3333 0.6667 0.7375
As2 As 0.6667 0.3333 0.2625
Pt1 Pt 0.3333 0.6667 0.2571
Pt2 Pt 0.6667 0.3333 0.7429
```

The 6 most intense peaks (10° ≤ 2θ ≤ 90°), by angle:
| two_theta | I/Imax |
| --- | --- |
| 25.82 | 27 |
| 31.56 | 100 |
| 41.53 | 57 |
| 53.08 | 24 |
| 60.51 | 36 |
| 69.56 | 22 |

=====

(7)
# La2As7Rh12
Computed X-ray powder pattern, Cu Kα X-rays. Input: a crystal structure in Alexandria, relaxed with PBE.
No peak broadening, texture or thermal motion is included.

Structure:
```
data_La2As7Rh12
_cell_length_a 10.0315
_cell_length_b 10.0315
_cell_length_c 3.9840
_cell_angle_alpha 90.00
_cell_angle_beta 90.00
_cell_angle_gamma 120.00
_space_group_name_H-M_alt 'P 1'
_space_group_IT_number 1
loop_
_space_group_symop_operation_xyz
'x,y,z'
loop_
_atom_site_label
_atom_site_type_symbol
_atom_site_fract_x
_atom_site_fract_y
_atom_site_fract_z
La1 La 0.3333 0.6667 0.2501
La2 La 0.6667 0.3333 0.7499
As1 As 0.0000 0.0000 0.0000
As2 As 0.1134 0.4016 0.7491
As3 As 0.2883 0.8866 0.7491
As4 As 0.4016 0.2883 0.2509
As5 As 0.5984 0.7117 0.7491
As6 As 0.7117 0.1134 0.2509
As7 As 0.8866 0.5984 0.2509
Rh1 Rh 0.0626 0.6191 0.7500
Rh2 Rh 0.1154 0.8531 0.2530
Rh3 Rh 0.1469 0.2623 0.2530
Rh4 Rh 0.2623 0.1154 0.7470
Rh5 Rh 0.3809 0.4435 0.7500
Rh6 Rh 0.4435 0.0626 0.2500
Rh7 Rh 0.5565 0.9374 0.7500
Rh8 Rh 0.6191 0.5565 0.2500
Rh9 Rh 0.7377 0.8846 0.2530
Rh10 Rh 0.8531 0.7377 0.7470
Rh11 Rh 0.8846 0.1469 0.7470
Rh12 Rh 0.9374 0.3809 0.2500
```

The 6 most intense peaks (10° ≤ 2θ ≤ 90°), by angle:
| two_theta | I/Imax |
| --- | --- |
| 35.43 | 100 |
| 43.91 | 18 |
| 45.53 | 29 |
| 47.99 | 24 |
| 68.30 | 13 |
| 77.54 | 10 |

=====

(8)
# LaSn2As2Rh7
Computed X-ray powder pattern, Cu Kα X-rays. Input: a crystal structure in Alexandria, relaxed with PBE.
No peak broadening, texture or thermal motion is included.

Structure:
```
data_LaSn2As2Rh7
_cell_length_a 3.9452
_cell_length_b 3.9452
_cell_length_c 14.6269
_cell_angle_alpha 95.55
_cell_angle_beta 95.55
_cell_angle_gamma 89.74
_space_group_name_H-M_alt 'P 1'
_space_group_IT_number 1
loop_
_space_group_symop_operation_xyz
'x,y,z'
loop_
_atom_site_label
_atom_site_type_symbol
_atom_site_fract_x
_atom_site_fract_y
_atom_site_fract_z
La1 La 0.0000 0.0000 0.0000
Sn1 Sn 0.1202 0.1202 0.4014
Sn2 Sn 0.8798 0.8798 0.5986
As1 As 0.4122 0.4122 0.7465
As2 As 0.5878 0.5878 0.2535
Rh1 Rh 0.0531 0.5535 0.1563
Rh2 Rh 0.3671 0.3671 0.5774
Rh3 Rh 0.4465 0.9469 0.8437
Rh4 Rh 0.5000 0.5000 0.0000
Rh5 Rh 0.5535 0.0531 0.1563
Rh6 Rh 0.6329 0.6329 0.4226
Rh7 Rh 0.9469 0.4465 0.8437
```

The 6 most intense peaks (10° ≤ 2θ ≤ 90°), by angle:
| two_theta | I/Imax |
| --- | --- |
| 30.85 | 73 |
| 35.08 | 71 |
| 36.27 | 84 |
| 37.29 | 89 |
| 43.74 | 72 |
| 46.05 | 100 |

=====

(9)
# La2UAs3Rh12
Computed X-ray powder pattern, Cu Kα X-rays. Input: a crystal structure in Alexandria, relaxed with PBE.
No peak broadening, texture or thermal motion is included.

Structure:
```
data_La2UAs3Rh12
_cell_length_a 7.6850
_cell_length_b 7.6850
_cell_length_c 7.6850
_cell_angle_alpha 64.44
_cell_angle_beta 64.44
_cell_angle_gamma 64.44
_space_group_name_H-M_alt 'P 1'
_space_group_IT_number 1
loop_
_space_group_symop_operation_xyz
'x,y,z'
loop_
_atom_site_label
_atom_site_type_symbol
_atom_site_fract_x
_atom_site_fract_y
_atom_site_fract_z
La1 La 0.1024 0.1024 0.1024
La2 La 0.8976 0.8976 0.8976
U1 U 0.5000 0.5000 0.5000
As1 As 0.0000 0.5000 0.5000
As2 As 0.5000 0.0000 0.5000
As3 As 0.5000 0.5000 0.0000
Rh1 Rh 0.1221 0.6375 0.6375
Rh2 Rh 0.1398 0.1398 0.6035
Rh3 Rh 0.1398 0.6035 0.1398
Rh4 Rh 0.3625 0.3625 0.8779
Rh5 Rh 0.3625 0.8779 0.3625
Rh6 Rh 0.3965 0.8602 0.8602
Rh7 Rh 0.6035 0.1398 0.1398
Rh8 Rh 0.6375 0.1221 0.6375
Rh9 Rh 0.6375 0.6375 0.1221
Rh10 Rh 0.8602 0.3965 0.8602
Rh11 Rh 0.8602 0.8602 0.3965
Rh12 Rh 0.8779 0.3625 0.3625
```

The 6 most intense peaks (10° ≤ 2θ ≤ 90°), by angle:
| two_theta | I/Imax |
| --- | --- |
| 26.26 | 31 |
| 27.58 | 37 |
| 32.01 | 66 |
| 44.21 | 100 |
| 47.54 | 67 |
| 83.76 | 23 |

=====

(10)
# LaAs3Ru5
Computed X-ray powder pattern, Cu Kα X-rays. Input: a crystal structure in Alexandria, relaxed with PBE.
No peak broadening, texture or thermal motion is included.

Structure:
```
data_LaAs3Ru5
_cell_length_a 6.6810
_cell_length_b 6.6810
_cell_length_c 12.2664
_cell_angle_alpha 90.00
_cell_angle_beta 90.00
_cell_angle_gamma 144.97
_space_group_name_H-M_alt 'P 1'
_space_group_IT_number 1
loop_
_space_group_symop_operation_xyz
'x,y,z'
loop_
_atom_site_label
_atom_site_type_symbol
_atom_site_fract_x
_atom_site_fract_y
_atom_site_fract_z
La1 La 0.1681 0.8319 0.7500
La2 La 0.8319 0.1681 0.2500
As1 As 0.1245 0.8755 0.2500
As2 As 0.3835 0.6165 0.0469
As3 As 0.3835 0.6165 0.4531
As4 As 0.6165 0.3835 0.5469
As5 As 0.6165 0.3835 0.9531
As6 As 0.8755 0.1245 0.7500
Ru1 Ru 0.0000 0.0000 0.0000
Ru2 Ru 0.0000 0.0000 0.5000
Ru3 Ru 0.1998 0.8002 0.0698
Ru4 Ru 0.1998 0.8002 0.4302
Ru5 Ru 0.4452 0.5548 0.6472
Ru6 Ru 0.4452 0.5548 0.8528
Ru7 Ru 0.5548 0.4452 0.1472
Ru8 Ru 0.5548 0.4452 0.3528
Ru9 Ru 0.8002 0.1998 0.5698
Ru10 Ru 0.8002 0.1998 0.9302
```

The 6 most intense peaks (10° ≤ 2θ ≤ 90°), by angle:
| two_theta | I/Imax |
| --- | --- |
| 32.00 | 100 |
| 34.00 | 75 |
| 37.55 | 75 |
| 41.97 | 60 |
| 45.09 | 78 |
| 46.68 | 47 |

=====

(11)
# La6As2S3
Computed X-ray powder pattern, Cu Kα X-rays. Input: a crystal structure in Alexandria, relaxed with PBE.
No peak broadening, texture or thermal motion is included.

Structure:
```
data_La6As2S3
_cell_length_a 7.1657
_cell_length_b 7.1657
_cell_length_c 7.1425
_cell_angle_alpha 90.00
_cell_angle_beta 90.00
_cell_angle_gamma 120.00
_space_group_name_H-M_alt 'P 1'
_space_group_IT_number 1
loop_
_space_group_symop_operation_xyz
'x,y,z'
loop_
_atom_site_label
_atom_site_type_symbol
_atom_site_fract_x
_atom_site_fract_y
_atom_site_fract_z
La1 La 0.0000 0.3325 0.2512
La2 La 0.0000 0.6675 0.7488
La3 La 0.3325 0.0000 0.2512
La4 La 0.3325 0.3325 0.7488
La5 La 0.6675 0.0000 0.7488
La6 La 0.6675 0.6675 0.2512
As1 As 0.3333 0.6667 0.0000
As2 As 0.6667 0.3333 0.0000
S1 S 0.0000 0.0000 0.0000
S2 S 0.3333 0.6667 0.5000
S3 S 0.6667 0.3333 0.5000
```

The 6 most intense peaks (10° ≤ 2θ ≤ 90°), by angle:
| two_theta | I/Imax |
| --- | --- |
| 24.92 | 16 |
| 27.86 | 100 |
| 35.49 | 45 |
| 43.76 | 32 |
| 45.75 | 26 |
| 52.68 | 17 |

=====

(12)
# LaAsS3
Computed X-ray powder pattern, Cu Kα X-rays. Input: a crystal structure in Alexandria, relaxed with PBE.
No peak broadening, texture or thermal motion is included.

Structure:
```
data_LaAsS3
_cell_length_a 7.4879
_cell_length_b 6.6639
_cell_length_c 9.5996
_cell_angle_alpha 90.00
_cell_angle_beta 90.00
_cell_angle_gamma 90.00
_space_group_name_H-M_alt 'P 1'
_space_group_IT_number 1
loop_
_space_group_symop_operation_xyz
'x,y,z'
loop_
_atom_site_label
_atom_site_type_symbol
_atom_site_fract_x
_atom_site_fract_y
_atom_site_fract_z
La1 La 0.1076 0.0391 0.0000
La2 La 0.3924 0.5391 0.5000
La3 La 0.6076 0.4609 0.0000
La4 La 0.8924 0.9609 0.5000
As1 As 0.0375 0.5347 0.2168
As2 As 0.4625 0.0347 0.7168
As3 As 0.5375 0.9653 0.2168
As4 As 0.9625 0.4653 0.7168
S1 S 0.0375 0.3587 0.4949
S2 S 0.1722 0.8204 0.3023
S3 S 0.2009 0.8445 0.6828
S4 S 0.2991 0.3445 0.1828
S5 S 0.3278 0.3204 0.8023
S6 S 0.4625 0.8587 0.9949
S7 S 0.5375 0.1413 0.4949
S8 S 0.6722 0.6796 0.3023
S9 S 0.7009 0.6555 0.6828
S10 S 0.7991 0.1555 0.1828
S11 S 0.8278 0.1796 0.8023
S12 S 0.9625 0.6413 0.9949
```

The 6 most intense peaks (10° ≤ 2θ ≤ 90°), by angle:
| two_theta | I/Imax |
| --- | --- |
| 20.09 | 51 |
| 25.54 | 34 |
| 25.78 | 100 |
| 33.26 | 57 |
| 37.32 | 35 |
| 46.66 | 45 |